Diffraction record for MgGaSn2. The powder diffractogram is calculated, not measured: it uses a PBE-relaxed structure and copper Kα.
Lines closer than 0.1° are merged.

Principal peaks in the range 15 to 90 degrees two-theta, sorted by position:
2theta  Rel. int.  hkl
23.2  40  1 0 1
24.9  68  0 1 2
30.5  19  0 0 6
34.3  100  0 1 5
39.8  80  1 1 0
42.8  46  1 0 7
53.5  28  2 0 5
68.7  27  1 2 5
74.3  17  2 1 7
77.6  22  1 1 12

Atomic structure:
Cell: 4.5268 4.5268 17.5797 Å, 90.00 90.00 120.00°
Space group R3m (No. 160, hexagonal axes)
Inequivalent atoms, fractional coordinates:
Mg: 0.0000 0.0000 0.0000 [3 per cell]
Ga: 0.0000 0.0000 0.1703 [3 per cell]
Sn: 0.0000 0.0000 0.5800 [3 per cell]
Sn: 0.0000 0.0000 0.7551 [3 per cell]



Diffraction record for Tm3As2Pb. The powder diffractogram is calculated, not measured: it uses a PBE-relaxed structure and copper Kα.
Lines closer than 0.1° are merged.

Principal peaks in the range 15 to 90 degrees two-theta, sorted by position:
2theta  Rel. int.  hkl
26.2  29  1 1 2
29.5  54  1 3 1
30.8  20  0 4 1
31.0  28  0 2 3
33.3  31  1 1 3
33.6  100  1 3 2
35.1  56  2 0 0
36.6  30  0 0 4
51.6  22  2 0 4
54.9  20  1 3 5

Atomic structure:
Cell: 5.1115 12.1722 9.8322 Å, 90.00 90.00 90.00°
Space group Cmcm (No. 63)
Inequivalent atoms, fractional coordinates:
Tm: 0.0000 0.1040 0.2500 [4 per cell]
Tm: 0.0000 0.3696 0.0456 [8 per cell]
As: 0.0000 0.0000 0.0000 [4 per cell]
As: 0.0000 0.4683 0.7500 [4 per cell]
Pb: 0.0000 0.2170 0.7500 [4 per cell]



Diffraction record for AcUN2O. The powder diffractogram is calculated, not measured: it uses a PBE-relaxed structure and copper Kα.
Lines closer than 0.1° are merged.

Principal peaks in the range 15 to 90 degrees two-theta, sorted by position:
2theta  Rel. int.  hkl
29.0  100  1 1 2
29.2  53  2 0 0
41.2  13  0 0 4
41.8  24  2 2 0
51.3  23  2 0 4
51.7  45  3 1 2
60.1  17  2 2 4
82.8  12  3 1 6
83.3  13  4 2 4
83.6  11  5 1 2

Atomic structure:
Cell: 6.1144 6.1144 8.7730 Å, 90.00 90.00 90.00°
Space group I4/mcm (No. 140)
Inequivalent atoms, fractional coordinates:
Ac: 0.0000 0.5000 0.2500 [4 per cell]
U: 0.0000 0.0000 0.0000 [4 per cell]
N: 0.1903 0.3097 0.0000 [8 per cell]
O: 0.0000 0.0000 0.2500 [4 per cell]



Diffraction record for RbEr4Cl12. The powder diffractogram is calculated, not measured: it uses a PBE-relaxed structure and copper Kα.
Lines closer than 0.1° are merged.

Principal peaks in the range 15 to 90 degrees two-theta, sorted by position:
2theta  Rel. int.  hkl
17.3  100  0 0 2
24.6  67  2 2 0
35.1  39  0 0 4
39.4  51  2 4 0
43.3  46  2 4 2
50.4  21  4 0 4
53.7  21  4 2 4
56.9  15  2 6 0
68.6  21  2 6 4
79.4  17  2 8 2

Atomic structure:
Cell: 10.2355 10.2365 10.2449 Å, 90.00 90.00 90.00°
Space group Immm (No. 71)
Inequivalent atoms, fractional coordinates:
Rb: 0.0000 0.0000 0.0000 [2 per cell]
Er: 0.2500 0.2500 0.2500 [8 per cell]
Cl: 0.0000 0.1981 0.2857 [8 per cell]
Cl: 0.1999 0.2866 0.0000 [8 per cell]
Cl: 0.2123 0.5000 0.3007 [8 per cell]



Diffraction record for NdSm4DyS8. The powder diffractogram is calculated, not measured: it uses a PBE-relaxed structure and copper Kα.
Lines closer than 0.1° are merged.

Principal peaks in the range 15 to 90 degrees two-theta, sorted by position:
2theta  Rel. int.  hkl
21.6  28  1 0 4
25.4  100  0 2 1
26.5  12  0 0 6
30.7  18  0 2 4
37.9  13  2 1 4
40.3  43  0 2 7
44.0  58  2 2 0
61.2  13  4 0 7
61.2  12  4 1 3
81.0  14  6 0 0

Atomic structure:
Cell: 8.2212 8.2212 20.1796 Å, 90.00 90.00 120.00°
Space group R3m (No. 160, hexagonal axes)
Inequivalent atoms, fractional coordinates:
Nd: 0.0000 0.0000 0.0000 [3 per cell]
Sm: 0.0000 0.0000 0.3757 [3 per cell]
Sm: 0.0020 0.5010 0.5011 [9 per cell]
Dy: 0.0000 0.0000 0.6261 [3 per cell]
S: 0.0000 0.0000 0.2427 [3 per cell]
S: 0.0000 0.0000 0.7563 [3 per cell]
S: 0.0188 0.5094 0.7546 [9 per cell]
S: 0.1722 0.3444 0.5813 [9 per cell]



Diffraction record for Dy4Ir. The powder diffractogram is calculated, not measured: it uses a PBE-relaxed structure and copper Kα.
Lines closer than 0.1° are merged.

Principal peaks in the range 15 to 90 degrees two-theta, sorted by position:
2theta  Rel. int.  hkl
15.2  30  1 0 1
20.6  33  2 0 0
30.6  100  2 0 2
33.1  76  3 0 1
35.4  54  1 0 3
39.3  47  3 2 1
40.1  35  3 1 2
41.9  26  4 0 0
50.4  22  3 3 2
54.4  28  4 3 1

Atomic structure:
Cell: 8.6225 8.6225 7.9528 Å, 90.00 90.00 90.00°
Space group I-42d (No. 122)
Inequivalent atoms, fractional coordinates:
Dy: 0.0242 0.6975 0.4168 [16 per cell]
Ir: 0.0000 0.0000 0.5000 [4 per cell]



Diffraction record for InBiH6Ru2. The powder diffractogram is calculated, not measured: it uses a PBE-relaxed structure and copper Kα.
Lines closer than 0.1° are merged.

Principal peaks in the range 15 to 90 degrees two-theta, sorted by position:
2theta  Rel. int.  hkl
19.8  37  1 1 -1
26.6  54  0 0 2
30.0  36  1 3 0
32.4  69  1 3 -1
33.9  46  2 2 -1
35.9  42  2 0 -2
36.1  100  2 2 1
39.5  42  1 3 -2
44.4  36  0 2 3
50.0  25  1 5 1

Atomic structure:
Cell: 6.7181 9.9719 6.7449 Å, 90.00 96.08 90.00°
Space group C2/c (No. 15)
Inequivalent atoms, fractional coordinates:
In: 0.0000 0.1724 0.2500 [4 per cell]
Bi: 0.0000 0.4282 0.7500 [4 per cell]
H: 0.0660 0.1457 0.6342 [8 per cell]
H: 0.1621 0.0049 0.4009 [8 per cell]
H: 0.2151 0.3765 0.3400 [8 per cell]
Ru: 0.2008 0.1565 0.8715 [8 per cell]



Diffraction record for Pm3Se4. The powder diffractogram is calculated, not measured: it uses a PBE-relaxed structure and copper Kα.
Lines closer than 0.1° are merged.

Principal peaks in the range 15 to 90 degrees two-theta, sorted by position:
2theta  Rel. int.  hkl
19.4  10  0 0 9
29.9  100  0 1 8
42.6  39  1 1 0
42.9  34  1 0 16
44.7  9  0 1 17
52.9  20  2 0 8
62.0  11  0 2 16
70.2  17  1 2 8
70.5  14  1 1 24
78.2  12  2 1 16

Atomic structure:
Cell: 4.2438 4.2438 41.2245 Å, 90.00 90.00 120.00°
Space group R-3m (No. 166, hexagonal axes)
Inequivalent atoms, fractional coordinates:
Pm: 0.0000 0.0000 0.0000 [3 per cell]
Pm: 0.0000 0.0000 0.2452 [6 per cell]
Se: 0.0000 0.0000 0.1226 [6 per cell]
Se: 0.0000 0.0000 0.3752 [6 per cell]



Diffraction record for TmMn3Re3. The powder diffractogram is calculated, not measured: it uses a PBE-relaxed structure and copper Kα.
Lines closer than 0.1° are merged.

Principal peaks in the range 15 to 90 degrees two-theta, sorted by position:
2theta  Rel. int.  hkl
27.6  43  2 0 0
30.9  49  2 1 0
34.0  100  2 1 1
48.8  22  2 2 2
53.0  56  3 2 1
56.9  27  4 0 0
64.4  16  4 2 0
68.0  13  3 3 2
81.5  16  5 2 1
84.8  17  4 4 0

Atomic structure:
Cell: 6.4679 6.4679 6.4679 Å, 90.00 90.00 90.00°
Space group Pm-3n (No. 223)
Inequivalent atoms, fractional coordinates:
Tm: 0.0000 0.0000 0.0000 [2 per cell]
Mn: 0.0000 0.2500 0.5000 [6 per cell]
Re: 0.0000 0.5000 0.2500 [6 per cell]



Diffraction record for NaHf4S8. The powder diffractogram is calculated, not measured: it uses a PBE-relaxed structure and copper Kα.
Lines closer than 0.1° are merged.

Principal peaks in the range 15 to 90 degrees two-theta, sorted by position:
2theta  Rel. int.  hkl
25.2  16  0 0 6
28.8  65  0 2 1
29.7  29  2 0 2
33.2  100  0 2 4
35.6  28  2 0 5
41.4  39  0 2 7
44.7  39  2 0 8
50.4  31  2 2 0
52.2  32  2 2 3
55.9  18  2 0 11

Atomic structure:
Cell: 7.2381 7.2381 21.2408 Å, 90.00 90.00 120.00°
Space group R-3m (No. 166, hexagonal axes)
Inequivalent atoms, fractional coordinates:
Na: 0.0000 0.0000 0.0000 [3 per cell]
Hf: 0.0000 0.0000 0.5000 [3 per cell]
Hf: 0.0000 0.5000 0.5000 [9 per cell]
S: 0.0000 0.0000 0.2356 [6 per cell]
S: 0.0013 0.5007 0.2365 [18 per cell]



Diffraction record for Ba2LaCrN4. The powder diffractogram is calculated, not measured: it uses a PBE-relaxed structure and copper Kα.
Lines closer than 0.1° are merged.

Principal peaks in the range 15 to 90 degrees two-theta, sorted by position:
2theta  Rel. int.  hkl
26.1  74  2 1 0
28.3  100  0 2 1
30.7  94  2 1 1
32.2  50  0 0 2
41.9  39  2 1 2
42.7  33  2 3 0
47.6  26  4 0 0
54.4  29  2 3 2
56.4  50  4 2 1
58.6  25  4 0 2

Atomic structure:
Cell: 7.6322 7.6380 5.5669 Å, 90.00 90.00 90.00°
Space group Pmn2_1 (No. 31)
Inequivalent atoms, fractional coordinates:
Ba: 0.2426 0.1516 0.0000 [4 per cell]
La: 0.0000 0.3862 0.4876 [2 per cell]
Cr: 0.0000 0.6533 0.9434 [2 per cell]
N: 0.0000 0.4234 0.0037 [2 per cell]
N: 0.0000 0.6618 0.6266 [2 per cell]
N: 0.1988 0.7595 0.0256 [4 per cell]



Diffraction record for Sc5Re. The powder diffractogram is calculated, not measured: it uses a PBE-relaxed structure and copper Kα.
Lines closer than 0.1° are merged.

Principal peaks in the range 15 to 90 degrees two-theta, sorted by position:
2theta  Rel. int.  hkl
16.9  65  2 0 0
17.0  45  2 0 -1
27.7  19  1 1 0
34.5  47  4 0 -2
35.5  52  2 0 2
35.6  100  1 1 -2
35.9  25  3 1 -1
37.0  95  3 1 0
39.4  18  3 1 -2
45.1  22  1 1 -3

Atomic structure:
Cell: 11.2387 3.3846 7.5733 Å, 90.00 111.27 90.00°
Space group C2/m (No. 12)
Inequivalent atoms, fractional coordinates:
Sc: 0.0000 0.0000 0.0000 [2 per cell]
Sc: 0.1379 0.5000 0.3613 [4 per cell]
Sc: 0.1598 0.5000 0.7856 [4 per cell]
Re: 0.0000 0.0000 0.5000 [2 per cell]